The following is a calculated powder X-ray diffraction pattern of LiHo3In. It was derived from a cell relaxed with GGA-PBE, using CuKα.
Intensities are scaled so that the largest is 100.

Top 8 peaks for 15° ≤ 2θ ≤ 90°, by angle:
| d_spacing | two_theta | I_rel |
| --- | --- | --- |
| 3.544 | 25.13 | 18 |
| 2.725 | 32.87 | 100 |
| 2.543 | 35.30 | 44 |
| 2.087 | 43.35 | 11 |
| 1.798 | 50.78 | 16 |
| 1.613 | 57.09 | 17 |
| 1.501 | 61.82 | 32 |
| 1.362 | 68.93 | 10 |

```
LiHo3In
1.0
2.541 -10.437 0.000
2.541 10.437 0.000
0.000 0.000 5.088
Li Ho In
2 6 2
Direct
0.154 0.846 0.750
0.846 0.154 0.250
0.058 0.942 0.250
0.249 0.751 0.250
0.439 0.561 0.250
0.561 0.439 0.750
0.751 0.249 0.750
0.942 0.058 0.750
0.342 0.658 0.750
0.658 0.342 0.250
```